Entry 1:
The following is a computed powder X-ray diffraction pattern of MgCrSi2O6. It was derived from a cell relaxed with PBE+U, using Cu Kα (λ = 1.5418 Å).
Kinematic intensities with the Lorentz-polarization factor, no thermal factor.

Crystal structure
Lattice parameters (Å, degrees): 9.9843 9.5222 5.3147 90.00 109.98 90.00
Space group C2/c (No. 15)
Asymmetric unit:
Mg 0.0000 0.2439 0.2500 x4
Cr 0.0000 0.1021 0.7500 x4
Si 0.2032 0.4130 0.7405 x8
O 0.1203 0.2690 0.6246 x8
O 0.1210 0.0983 0.1501 x8
O 0.1561 0.4704 0.9925 x8

Top 10 peaks for 2θ from 5° to 70°, in order of rising 2θ:
13.25 deg, rel. 43
26.68 deg, rel. 22
28.29 deg, rel. 100
30.07 deg, rel. 75
33.05 deg, rel. 56
35.78 deg, rel. 27
35.96 deg, rel. 29
40.10 deg, rel. 32
55.34 deg, rel. 22
65.76 deg, rel. 34

---

Entry 2:
The following is a computed powder X-ray diffraction pattern of MgCrSi2O6. It was derived from a cell relaxed with PBE+U, using Cu Kα (λ = 1.5418 Å).
Kinematic intensities with the Lorentz-polarization factor, no thermal factor.

Crystal structure
Lattice parameters (Å, degrees): 9.9825 9.0456 5.3910 90.00 110.86 90.00
Space group C2/c (No. 15)
Asymmetric unit:
Mg 0.0000 0.0968 0.2500 x4
Cr 0.0000 0.2674 0.7500 x4
Si 0.2055 0.4114 0.2261 x8
O 0.1197 0.0865 0.6525 x8
O 0.1248 0.2530 0.1499 x8
O 0.1459 0.4990 0.9348 x8

Top 10 peaks for 2θ from 5° to 70°, in order of rising 2θ:
19.44 deg, rel. 30
27.47 deg, rel. 61
28.78 deg, rel. 100
29.57 deg, rel. 52
30.40 deg, rel. 36
34.23 deg, rel. 31
35.65 deg, rel. 48
41.09 deg, rel. 45
55.18 deg, rel. 30
66.99 deg, rel. 26

---

Entry 3:
The following is a computed powder X-ray diffraction pattern of MgCrSi2O6. It was derived from a cell relaxed with PBE+U, using Cu Kα (λ = 1.5418 Å).
Kinematic intensities with the Lorentz-polarization factor, no thermal factor.

Crystal structure
Lattice parameters (Å, degrees): 9.5456 9.3748 5.3816 90.00 100.19 90.00
Space group P2_1/c (No. 14)
Asymmetric unit:
Mg 0.2475 0.0022 0.0116 x4
Cr 0.2520 0.1485 0.5119 x4
Si 0.0454 0.6617 0.7607 x4
Si 0.4536 0.6628 0.2188 x4
O 0.0986 0.7411 0.5167 x4
O 0.1259 0.5103 0.7736 x4
O 0.1294 0.1527 0.7910 x4
O 0.3682 0.5183 0.2534 x4
O 0.3709 0.1504 0.2268 x4
O 0.4073 0.7225 0.9249 x4

Top 10 peaks for 2θ from 5° to 70°, in order of rising 2θ:
13.34 deg, rel. 35
28.16 deg, rel. 100
30.09 deg, rel. 69
33.29 deg, rel. 30
35.86 deg, rel. 28
36.13 deg, rel. 18
40.08 deg, rel. 28
54.08 deg, rel. 21
54.80 deg, rel. 18
66.31 deg, rel. 20

---

Entry 4:
The following is a computed powder X-ray diffraction pattern of Mg6CrSnO8. It was derived from a cell relaxed with PBE+U, using Cu Kα (λ = 1.5418 Å).
Kinematic intensities with the Lorentz-polarization factor, no thermal factor.

Crystal structure
Lattice parameters (Å, degrees): 4.4092 4.4092 9.1365 90.00 90.00 90.00
Space group P4/mmm (No. 123)
Asymmetric unit:
Mg 0.0000 0.0000 0.0000 x1
Mg 0.0000 0.5000 0.2307 x4
Mg 0.5000 0.5000 0.0000 x1
Cr 0.0000 0.0000 0.5000 x1
Sn 0.5000 0.5000 0.5000 x1
O 0.0000 0.0000 0.2302 x2
O 0.0000 0.5000 0.0000 x2
O 0.0000 0.5000 0.5000 x2
O 0.5000 0.5000 0.2269 x2

Top 10 peaks for 2θ from 5° to 70°, in order of rising 2θ:
9.68 deg, rel. 71
19.43 deg, rel. 27
28.63 deg, rel. 19
29.33 deg, rel. 21
30.29 deg, rel. 35
34.84 deg, rel. 58
39.45 deg, rel. 51
40.94 deg, rel. 100
58.16 deg, rel. 58
59.28 deg, rel. 30

---

Entry 5:
The following is a computed powder X-ray diffraction pattern of Mg6CrSnO8. It was derived from a cell relaxed with PBE+U, using Cu Kα (λ = 1.5418 Å).
Kinematic intensities with the Lorentz-polarization factor, no thermal factor.

Crystal structure
Lattice parameters (Å, degrees): 4.4959 4.4959 8.7667 90.00 90.00 90.00
Space group P4/mmm (No. 123)
Asymmetric unit:
Mg 0.0000 0.0000 0.0000 x1
Mg 0.0000 0.0000 0.5000 x1
Mg 0.0000 0.5000 0.2380 x4
Cr 0.5000 0.5000 0.0000 x1
Sn 0.5000 0.5000 0.5000 x1
O 0.0000 0.0000 0.2496 x2
O 0.0000 0.5000 0.0000 x2
O 0.0000 0.5000 0.5000 x2
O 0.5000 0.5000 0.2322 x2

Top 10 peaks for 2θ from 5° to 70°, in order of rising 2θ:
19.75 deg, rel. 44
20.26 deg, rel. 22
28.07 deg, rel. 19
28.44 deg, rel. 37
34.86 deg, rel. 54
40.11 deg, rel. 100
41.19 deg, rel. 45
58.02 deg, rel. 30
58.85 deg, rel. 56
69.51 deg, rel. 19

---

Entry 6:
The following is a computed powder X-ray diffraction pattern of SrMg14CrO16. It was derived from a cell relaxed with PBE+U, using Cu Kα (λ = 1.5418 Å).
Kinematic intensities with the Lorentz-polarization factor, no thermal factor.

Crystal structure
Lattice parameters (Å, degrees): 4.4014 8.6444 8.7485 90.00 90.00 90.00
Space group Pmmm (No. 47)
Asymmetric unit:
Sr 0.0000 0.0000 0.0000 x1
Mg 0.0000 0.0000 0.5000 x1
Mg 0.0000 0.2558 0.2584 x4
Mg 0.0000 0.5000 0.5000 x1
Mg 0.5000 0.0000 0.2605 x2
Mg 0.5000 0.2514 0.5000 x2
Mg 0.5000 0.2582 0.0000 x2
Mg 0.5000 0.5000 0.2540 x2
Cr 0.0000 0.5000 0.0000 x1
O 0.0000 0.0000 0.2715 x2
O 0.0000 0.2518 0.5000 x2
O 0.0000 0.2689 0.0000 x2
O 0.0000 0.5000 0.2657 x2
O 0.5000 0.0000 0.0000 x1
O 0.5000 0.0000 0.5000 x1
O 0.5000 0.2503 0.2499 x4
O 0.5000 0.5000 0.0000 x1
O 0.5000 0.5000 0.5000 x1

Top 10 peaks for 2θ from 5° to 70°, in order of rising 2θ:
10.11 deg, rel. 26
29.00 deg, rel. 16
30.74 deg, rel. 14
35.62 deg, rel. 59
41.01 deg, rel. 100
41.28 deg, rel. 95
41.80 deg, rel. 93
59.60 deg, rel. 56
60.00 deg, rel. 55
60.20 deg, rel. 53